Record 1
Calculated powder diffractogram of UNi2P2 for CuKα, from a structure optimized by DFT (PBE).
Lines closer than 0.1° are merged.

Main lines, low angle first (15° ≤ 2θ ≤ 90°):
2θ 25.57, rel. 71, (1 0 1)
2θ 35.80, rel. 21, (0 0 4)
2θ 36.14, rel. 64, (1 0 3)
2θ 38.69, rel. 100, (1 1 2)
2θ 49.04, rel. 33, (2 0 0)
2θ 51.78, rel. 25, (1 0 5)
2θ 62.41, rel. 27, (2 1 3)
2θ 66.25, rel. 18, (1 1 6)
2θ 74.08, rel. 18, (2 1 5)
2θ 84.74, rel. 21, (3 1 2)

Crystal structure
a = 3.7154 Å, b = 3.7154 Å, c = 10.0328 Å
α = 90.00°, β = 90.00°, γ = 90.00°
Space group I4/mmm (No. 139)
Asymmetric unit:
U (0.0000, 0.0000, 0.0000) (multiplicity 2)
Ni (0.0000, 0.5000, 0.2500) (multiplicity 4)
P (0.0000, 0.0000, 0.3814) (multiplicity 4)

Record 2
Calculated powder diffractogram of V2NiP for CuKα, from a structure optimized by DFT (PBE).
Lines closer than 0.1° are merged.

Main lines, low angle first (15° ≤ 2θ ≤ 90°):
2θ 25.16, rel. 7, (1 0 0)
2θ 34.51, rel. 6, (1 0 1)
2θ 43.19, rel. 100, (1 1 1)
2θ 47.50, rel. 19, (0 0 2)
2θ 51.65, rel. 28, (2 0 0)
2θ 54.50, rel. 2, (1 0 2)
2θ 63.62, rel. 2, (2 1 1)
2θ 72.79, rel. 19, (2 0 2)
2θ 76.07, rel. 8, (2 2 0)
2θ 85.40, rel. 12, (1 1 3)

Crystal structure
a = 3.5391 Å, b = 3.5391 Å, c = 3.8281 Å
α = 90.00°, β = 90.00°, γ = 90.00°
Space group P4/mmm (No. 123)
Asymmetric unit:
V (0.0000, 0.5000, 0.0000) (multiplicity 2)
Ni (0.0000, 0.0000, 0.5000) (multiplicity 1)
P (0.5000, 0.5000, 0.5000) (multiplicity 1)

Record 3
Calculated powder diffractogram of NiPW for CuKα, from a structure optimized by DFT (PBE).
Lines closer than 0.1° are merged.

Main lines, low angle first (15° ≤ 2θ ≤ 90°):
2θ 23.50, rel. 23, (0 0 1)
2θ 30.64, rel. 30, (1 1 0)
2θ 35.53, rel. 20, (2 0 0)
2θ 38.97, rel. 100, (1 1 1)
2θ 43.04, rel. 66, (2 0 1)
2θ 47.61, rel. 33, (2 1 0)
2θ 48.06, rel. 24, (0 0 2)
2θ 69.97, rel. 21, (2 1 2)
2θ 71.82, rel. 31, (3 1 1)
2θ 86.37, rel. 18, (3 1 2)

Crystal structure
a = 5.8352 Å, b = 5.8352 Å, c = 3.7862 Å
α = 90.00°, β = 90.00°, γ = 120.00°
Space group P-62m (No. 189)
Asymmetric unit:
Ni (0.0000, 0.7466, 0.0000) (multiplicity 3)
P (0.0000, 0.0000, 0.5000) (multiplicity 1)
P (0.3333, 0.6667, 0.0000) (multiplicity 2)
W (0.0000, 0.4147, 0.5000) (multiplicity 3)

Record 4
Calculated powder diffractogram of Ni4P16W for CuKα, from a structure optimized by DFT (PBE).
Lines closer than 0.1° are merged.

Main lines, low angle first (15° ≤ 2θ ≤ 90°):
2θ 21.38, rel. 63, (3 1 -1)
2θ 23.61, rel. 59, (1 1 2)
2θ 24.78, rel. 88, (3 1 -2)
2θ 32.22, rel. 100, (2 0 -4)
2θ 32.49, rel. 91, (0 2 1)
2θ 34.63, rel. 59, (5 1 2)
2θ 37.22, rel. 53, (8 0 0)
2θ 50.36, rel. 66, (3 3 -1)
2θ 53.75, rel. 73, (5 1 -6)
2θ 54.16, rel. 55, (11 1 -2)

Crystal structure
a = 19.6824 Å, b = 5.6951 Å, c = 11.1619 Å
α = 90.00°, β = 100.95°, γ = 90.00°
Space group C2/c (No. 15)
Asymmetric unit:
Ni (0.1061, 0.0943, 0.0744) (multiplicity 8)
Ni (0.2505, 0.0550, 0.3715) (multiplicity 8)
P (0.0042, 0.2632, 0.1074) (multiplicity 8)
P (0.0615, 0.0521, 0.8679) (multiplicity 8)
P (0.0620, 0.2816, 0.5803) (multiplicity 8)
P (0.1208, 0.4949, 0.3392) (multiplicity 8)
P (0.1410, 0.1262, 0.2805) (multiplicity 8)
P (0.1417, 0.4608, 0.0425) (multiplicity 8)
P (0.2129, 0.0664, 0.5543) (multiplicity 8)
P (0.2212, 0.3374, 0.8120) (multiplicity 8)
W (0.0000, 0.3948, 0.7500) (multiplicity 4)

Record 5
Calculated powder diffractogram of YNiP for CuKα, from a structure optimized by DFT (PBE).
Lines closer than 0.1° are merged.

Main lines, low angle first (15° ≤ 2θ ≤ 90°):
2θ 26.34, rel. 10, (1 0 0)
2θ 26.96, rel. 5, (1 0 1)
2θ 35.13, rel. 100, (1 0 4)
2θ 46.48, rel. 40, (1 1 0)
2θ 46.62, rel. 13, (0 0 8)
2θ 59.57, rel. 20, (2 0 4)
2θ 67.95, rel. 24, (1 1 8)
2θ 78.75, rel. 17, (2 1 4)
2θ 78.96, rel. 9, (1 0 12)
2θ 86.23, rel. 6, (3 0 0)

Crystal structure
a = 3.9073 Å, b = 3.9073 Å, c = 15.5853 Å
α = 90.00°, β = 90.00°, γ = 120.00°
Space group P6_3/mmc (No. 194)
Asymmetric unit:
Y (0.0000, 0.0000, 0.0000) (multiplicity 2)
Y (0.0000, 0.0000, 0.2500) (multiplicity 2)
Ni (0.3333, 0.6667, 0.1275) (multiplicity 4)
P (0.3333, 0.6667, 0.6220) (multiplicity 4)

Record 6
Calculated powder diffractogram of Y2Ni12P7 for CuKα, from a structure optimized by DFT (PBE).
Lines closer than 0.1° are merged.

Main lines, low angle first (15° ≤ 2θ ≤ 90°):
2θ 39.16, rel. 100, (1 2 1)
2θ 41.69, rel. 8, (3 1 0)
2θ 42.57, rel. 10, (3 0 1)
2θ 46.51, rel. 10, (4 0 0)
2θ 48.82, rel. 16, (3 1 1)
2θ 49.68, rel. 21, (0 0 2)
2θ 50.96, rel. 9, (2 3 0)
2θ 53.78, rel. 15, (4 1 0)
2θ 76.24, rel. 10, (4 1 2)
2θ 86.01, rel. 9, (1 2 3)

Crystal structure
a = 9.0189 Å, b = 9.0189 Å, c = 3.6705 Å
α = 90.00°, β = 90.00°, γ = 120.00°
Space group P-6 (No. 174)
Asymmetric unit:
Y (0.0000, 0.0000, 0.0000) (multiplicity 1)
Y (0.3333, 0.6667, 0.5000) (multiplicity 1)
Ni (0.0405, 0.7671, 0.5000) (multiplicity 3)
Ni (0.0971, 0.3818, 0.0000) (multiplicity 3)
Ni (0.4495, 0.2388, 0.0000) (multiplicity 3)
Ni (0.5148, 0.0595, 0.5000) (multiplicity 3)
P (0.0715, 0.6275, 0.0000) (multiplicity 3)
P (0.2601, 0.0397, 0.5000) (multiplicity 3)
P (0.6667, 0.3333, 0.5000) (multiplicity 1)

Record 7
Calculated powder diffractogram of YNiP for CuKα, from a structure optimized by DFT (PBE).
Lines closer than 0.1° are merged.

Main lines, low angle first (15° ≤ 2θ ≤ 90°):
2θ 28.06, rel. 48, (1 1 1)
2θ 35.55, rel. 100, (0 2 4)
2θ 36.70, rel. 40, (0 4 1)
2θ 37.21, rel. 87, (1 3 0)
2θ 41.20, rel. 94, (1 1 4)
2θ 42.91, rel. 17, (0 4 3)
2θ 44.08, rel. 34, (1 3 3)
2θ 52.26, rel. 28, (2 0 0)
2θ 62.09, rel. 25, (1 5 4)
2θ 64.79, rel. 22, (2 2 4)

Crystal structure
a = 3.5007 Å, b = 10.0175 Å, c = 11.7086 Å
α = 90.00°, β = 90.00°, γ = 90.00°
Space group Cmcm (No. 63)
Asymmetric unit:
Y (0.0000, 0.1962, 0.1127) (multiplicity 8)
Ni (0.0000, 0.4756, 0.2500) (multiplicity 4)
Ni (0.0000, 0.5000, 0.0000) (multiplicity 4)
P (0.0000, 0.0857, 0.6173) (multiplicity 8)

Record 8
Calculated powder diffractogram of YNi4P2 for CuKα, from a structure optimized by DFT (PBE).
Lines closer than 0.1° are merged.

Main lines, low angle first (15° ≤ 2θ ≤ 90°):
2θ 37.86, rel. 100, (2 1 1)
2θ 40.26, rel. 48, (3 1 0)
2θ 44.07, rel. 41, (2 2 1)
2θ 47.85, rel. 40, (3 1 1)
2θ 50.82, rel. 25, (0 0 2)
2θ 53.32, rel. 18, (4 1 0)
2θ 66.74, rel. 20, (3 1 2)
2θ 71.59, rel. 22, (5 0 1)
2θ 76.75, rel. 11, (4 1 2)
2θ 86.97, rel. 15, (6 2 0)

Crystal structure
a = 7.0843 Å, b = 7.0843 Å, c = 3.5934 Å
α = 90.00°, β = 90.00°, γ = 90.00°
Space group P4_2/mnm (No. 136)
Asymmetric unit:
Y (0.0000, 0.0000, 0.0000) (multiplicity 2)
Ni (0.0850, 0.3370, 0.5000) (multiplicity 8)
P (0.2205, 0.7795, 0.5000) (multiplicity 4)

Question: Number 2 is which compound?
Answer: V2NiP